(1)
Structure and theoretical powder diffraction line list of BaLi7Tl5 (a PBE-relaxed structure; Cu Kα, 1.54184 Å).

Largest 8 diffraction maxima, in order of rising 2θ, 2θ = 10–80°:
2theta	d/Å	I (rel.)
12.5	7.091	37.7
17.9	4.962	100.0
25.1	3.545	86.9
33.5	2.676	86.2
33.7	2.660	45.7
35.4	2.534	50.4
38.2	2.355	64.8
50.1	1.819	35.9

Crystal structure
a b c (Å): 7.7607 7.7607 7.7607
angles (deg): 132.09 98.46 100.52
Fractional positions:
Ba (0.0000, 0.0000, 0.0000)
Li (0.2309, 0.5042, 0.7267)
Li (0.3402, 0.9888, 0.3514)
Li (0.3454, 0.3454, 0.0000)
Li (0.6374, 0.9888, 0.6486)
Li (0.6483, 0.6483, 0.0000)
Li (0.7775, 0.5042, 0.2733)
Li (0.7808, 0.2808, 0.5000)
Tl (0.1858, 0.6858, 0.5000)
Tl (0.5171, 0.0095, 0.0187)
Tl (0.5171, 0.4984, 0.5076)
Tl (0.9908, 0.0095, 0.4924)
Tl (0.9908, 0.4984, 0.9813)

(2)
Structure and theoretical powder diffraction line list of Ba2LaCu3O8 (a PBE-relaxed structure; Cu Kα, 1.54184 Å).

Largest 8 diffraction maxima, in order of rising 2θ, 2θ = 10–80°:
2theta	d/Å	I (rel.)
31.8	2.810	45.0
32.0	2.793	100.0
39.4	2.285	16.2
45.7	1.987	29.8
46.3	1.963	12.5
56.9	1.619	38.4
57.3	1.609	19.7
67.0	1.396	15.4

Crystal structure
a b c (Å): 3.9744 3.9744 11.7764
angles (deg): 90.00 90.00 90.00
Fractional positions:
Ba (0.0000, 0.0000, 0.1664)
Ba (0.0000, 0.0000, 0.8336)
La (0.0000, 0.0000, 0.5000)
Cu (0.5000, 0.5000, 0.0000)
Cu (0.5000, 0.5000, 0.3372)
Cu (0.5000, 0.5000, 0.6628)
O (0.0000, 0.5000, 0.0000)
O (0.0000, 0.5000, 0.3688)
O (0.0000, 0.5000, 0.6312)
O (0.5000, 0.0000, 0.0000)
O (0.5000, 0.0000, 0.3688)
O (0.5000, 0.0000, 0.6312)
O (0.5000, 0.5000, 0.1674)
O (0.5000, 0.5000, 0.8326)

(3)
Structure and theoretical powder diffraction line list of K2TlAg2 (a PBE-relaxed structure; Cu Kα, 1.54184 Å).

Largest 8 diffraction maxima, in order of rising 2θ, 2θ = 10–80°:
2theta	d/Å	I (rel.)
15.8	5.608	100.0
17.3	5.133	34.3
28.4	3.145	86.4
31.9	2.804	29.9
35.5	2.528	28.2
36.7	2.446	80.7
43.5	2.082	32.5
54.9	1.672	30.7

Crystal structure
a b c (Å): 6.7950 6.7950 6.7950
angles (deg): 136.32 129.73 68.76
Fractional positions:
K (0.2008, 0.2008, 0.0000)
K (0.7992, 0.7992, 0.0000)
Tl (0.5000, 0.0000, 0.5000)
Ag (0.2438, 0.5000, 0.7438)
Ag (0.7562, 0.5000, 0.2562)

(4)
Structure and theoretical powder diffraction line list of Li5Pd3 (a PBE-relaxed structure; Cu Kα, 1.54184 Å).

Largest 8 diffraction maxima, in order of rising 2θ, 2θ = 10–80°:
2theta	d/Å	I (rel.)
14.6	6.047	30.6
22.0	4.045	51.3
29.4	3.035	100.0
29.5	3.023	49.3
42.1	2.145	94.9
42.2	2.141	47.0
52.3	1.750	38.9
69.2	1.358	16.5

Crystal structure
a b c (Å): 6.7676 6.7640 4.2921
angles (deg): 71.55 71.46 36.99
Fractional positions:
Li (0.0000, 0.0000, 0.0000)
Li (0.1317, 0.1317, 0.3683)
Li (0.3683, 0.3683, 0.1317)
Li (0.6317, 0.6317, 0.8683)
Li (0.8683, 0.8683, 0.6317)
Pd (0.2538, 0.2538, 0.7462)
Pd (0.5000, 0.5000, 0.5000)
Pd (0.7462, 0.7462, 0.2538)

(5)
Structure and theoretical powder diffraction line list of Ac3Ni2Rh7 (a PBE-relaxed structure; Cu Kα, 1.54184 Å).

Largest 8 diffraction maxima, in order of rising 2θ, 2θ = 10–80°:
2theta	d/Å	I (rel.)
30.5	2.935	58.9
32.9	2.720	47.8
33.3	2.694	56.1
38.4	2.346	53.9
39.0	2.311	100.0
62.9	1.478	24.4
63.4	1.468	23.3
69.1	1.360	27.8

Crystal structure
a b c (Å): 9.3026 9.3026 9.3026
angles (deg): 34.01 34.01 34.01
Fractional positions:
Ac (0.0000, 0.0000, 0.0000)
Ac (0.1387, 0.1387, 0.1387)
Ac (0.8613, 0.8613, 0.8613)
Ni (0.3329, 0.3329, 0.3329)
Ni (0.6671, 0.6671, 0.6671)
Rh (0.0775, 0.5776, 0.5776)
Rh (0.4224, 0.4224, 0.9225)
Rh (0.4224, 0.9225, 0.4224)
Rh (0.5000, 0.5000, 0.5000)
Rh (0.5776, 0.0775, 0.5776)
Rh (0.5776, 0.5776, 0.0775)
Rh (0.9225, 0.4224, 0.4224)